Entry 1:
PaZnF4: theoretical XRD peak list (Cu Kα (weighted mean of Kα1 and Kα2)), based on DFT lattice parameters and positions (PBE).
Lines closer than 0.1° are merged.

Structural model:
```
PaZnF4
1.0
5.753 0.000 0.000
0.000 5.753 0.000
0.000 0.000 8.562
Pa Zn F
2 2 8
Cartesian
0.000 0.000 0.000
2.877 2.877 4.281
0.000 2.877 2.141
2.877 0.000 6.422
0.833 4.109 7.577
1.233 2.043 5.267
1.644 0.833 0.986
2.043 4.520 3.296
3.710 1.233 3.296
4.109 4.920 0.986
4.520 3.710 5.267
4.920 1.644 7.577
```

Principal peaks in the range 2θ = 15–90°, in order of rising 2θ:
2theta  I (rel.)
18.58  1000
21.85  115
30.31  479
31.09  154
35.10  203
36.47  347
47.58  183
53.35  123
54.83  181
58.87  102

---

Entry 2:
PbF: theoretical XRD peak list (Cu Kα (weighted mean of Kα1 and Kα2)), based on DFT lattice parameters and positions (PBE).
Lines closer than 0.1° are merged.

Structural model:
```
PbF
1.0
11.110 0.000 0.000
0.000 11.110 0.000
0.000 0.000 3.250
Pb F
8 8
Cartesian
0.888 2.401 0.000
2.401 10.222 0.000
3.154 6.444 1.625
4.667 3.154 1.625
6.444 7.957 1.625
7.957 4.667 1.625
8.709 0.888 0.000
10.222 8.709 0.000
1.455 7.906 0.000
2.351 4.101 1.625
3.204 1.455 0.000
4.101 8.760 1.625
7.010 2.351 1.625
7.906 9.656 0.000
8.760 7.010 1.625
9.656 3.204 0.000
```

Principal peaks in the range 2θ = 15–90°, in order of rising 2θ:
2theta  I (rel.)
15.95  190
22.64  349
25.35  1000
28.62  547
32.93  478
36.16  431
40.33  418
43.63  568
52.54  263
63.01  341

---

Entry 3:
Pb2F13: theoretical XRD peak list (Cu Kα (weighted mean of Kα1 and Kα2)), based on DFT lattice parameters and positions (PBE).
Lines closer than 0.1° are merged.

Structural model:
```
Pb2F13
1.0
4.118 2.377 5.977
-4.118 2.377 5.977
0.000 -4.755 5.977
Pb F
2 13
Cartesian
0.000 0.000 2.207
0.000 0.000 15.725
0.000 0.000 0.000
-2.116 -1.222 6.699
-2.422 -1.398 9.158
0.000 -2.796 8.774
-2.422 1.398 8.774
0.000 -2.444 11.233
-2.116 1.222 11.233
2.116 -1.222 6.699
0.000 2.444 6.699
2.422 -1.398 9.158
0.000 2.796 9.158
2.422 1.398 8.774
2.116 1.222 11.233
```

Principal peaks in the range 2θ = 15–90°, in order of rising 2θ:
2theta  I (rel.)
21.58  800
23.44  930
25.47  1000
26.28  525
27.85  338
32.07  296
38.99  372
41.93  280
43.98  376
53.14  288

---

Entry 4:
PbF5: theoretical XRD peak list (Cu Kα (weighted mean of Kα1 and Kα2)), based on DFT lattice parameters and positions (PBE).
Lines closer than 0.1° are merged.

Structural model:
```
PbF5
1.0
3.586 0.000 0.000
-0.013 5.311 0.000
-1.739 -1.596 5.276
Pb F
1 5
Cartesian
0.000 0.000 0.000
0.001 1.525 1.362
0.053 -0.665 4.356
1.781 4.621 1.116
1.831 2.848 3.351
1.838 1.507 4.987
```

Principal peaks in the range 2θ = 15–90°, in order of rising 2θ:
2theta  I (rel.)
16.80  1000
17.45  749
20.45  582
26.17  325
26.32  319
27.67  219
30.20  181
30.32  184
36.32  176
36.65  171